[1]
Starting from DFT lattice parameters and positions (GGA-PBE), the PXRD pattern of Tm2Sb2O7 was computed for Cu Kα (weighted mean of Kα1 and Kα2).

Structure:
```
data_Tm2Sb2O7
_symmetry_space_group_name_H-M 'I m a 2'
_symmetry_Int_Tables_number 46
_cell_length_a 10.5537
_cell_length_b 7.5382
_cell_length_c 7.6643
_cell_angle_alpha 90.00
_cell_angle_beta 90.00
_cell_angle_gamma 90.00
loop_
_symmetry_equiv_pos_as_xyz
'x,y,z'
'-x,-y,z'
'-x+1/2,y,z'
'x+1/2,-y,z'
'x+1/2,y+1/2,z+1/2'
'-x+1/2,-y+1/2,z+1/2'
'-x,y+1/2,z+1/2'
'x,-y+1/2,z+1/2'
loop_
_atom_site_label
_atom_site_fract_x
_atom_site_fract_y
_atom_site_fract_z
Tm1 0.0000 0.0000 0.0000
Tm2 0.2500 0.2087 0.2467
Sb1 0.0000 0.0000 0.5230
Sb2 0.2500 0.7432 0.7415
O1 0.1150 0.5684 0.2490
O2 0.1181 0.2476 0.0047
O3 0.1272 0.5417 0.7337
O4 0.2500 0.7475 0.4913
```

Top 10 peaks for 2θ = 10–90°, low angle first:
2theta, I (rel.), hkl
28.8, 97, 2 0 2
29.1, 100, 2 2 0
33.3, 43, 0 2 2
34.0, 25, 4 0 0
47.4, 17, 0 0 4
48.3, 67, 4 2 2
56.6, 30, 2 2 4
57.2, 21, 2 4 2
57.7, 14, 6 0 2
57.8, 14, 6 2 0

---

[2]
Starting from DFT lattice parameters and positions (GGA-PBE), the PXRD pattern of USb2O6 was computed for Cu Kα (weighted mean of Kα1 and Kα2).

Structure:
```
data_USb2O6
_symmetry_space_group_name_H-M 'C 1 2/m 1'
_symmetry_Int_Tables_number 12
_cell_length_a 13.7338
_cell_length_b 4.0127
_cell_length_c 5.3724
_cell_angle_alpha 90.00
_cell_angle_beta 104.89
_cell_angle_gamma 90.00
loop_
_symmetry_equiv_pos_as_xyz
'x,y,z'
'-x,-y,-z'
'-x,y,-z'
'x,-y,z'
'x+1/2,y+1/2,z'
'-x+1/2,-y+1/2,-z'
'-x+1/2,y+1/2,-z'
'x+1/2,-y+1/2,z'
loop_
_atom_site_label
_atom_site_fract_x
_atom_site_fract_y
_atom_site_fract_z
U1 0.0000 0.0000 0.0000
Sb1 0.1901 0.5000 0.7474
O1 0.0672 0.5000 0.8791
O2 0.0861 0.0000 0.3259
O3 0.1961 0.0000 0.9063
```

Top 10 peaks for 2θ = 10–90°, low angle first:
2theta, I (rel.), hkl
17.1, 35, 0 0 1
24.3, 33, 2 0 1
27.9, 100, 4 0 -1
30.1, 43, 3 1 0
40.4, 20, 2 0 2
40.8, 13, 6 0 0
45.2, 14, 0 2 0
48.0, 26, 5 1 -2
48.7, 12, 6 0 1
54.0, 13, 4 2 -1

---

[3]
Starting from DFT lattice parameters and positions (GGA-PBE), the PXRD pattern of YSbO3 was computed for Cu Kα (weighted mean of Kα1 and Kα2).

Structure:
```
data_YSbO3
_symmetry_space_group_name_H-M 'P 63 c m'
_symmetry_Int_Tables_number 185
_symmetry_space_group_name_Hall 'P 6c -2'
_cell_length_a 6.5233
_cell_length_b 6.5233
_cell_length_c 12.6534
_cell_angle_alpha 90.00
_cell_angle_beta 90.00
_cell_angle_gamma 120.00
loop_
_atom_site_label
_atom_site_fract_x
_atom_site_fract_y
_atom_site_fract_z
Y1 0.0000 0.0000 0.0000
Y2 0.3333 0.6667 0.4680
Sb1 0.0000 0.3334 0.2324
O1 0.0000 0.0000 0.1989
O2 0.0000 0.3085 0.4083
O3 0.0000 0.3606 0.0577
O4 0.3333 0.6667 0.2606
```

Top 10 peaks for 2θ = 10–90°, low angle first:
2theta, I (rel.), hkl
28.2, 100, 0 0 4
30.8, 58, 1 1 2
34.8, 17, 1 1 3
45.4, 19, 1 1 5
48.3, 34, 3 0 0
51.6, 18, 1 1 6
56.9, 36, 3 0 4
58.4, 19, 0 0 8
73.4, 8, 2 2 6
79.1, 18, 3 0 8

---

[4]
Starting from DFT lattice parameters and positions (GGA-PBE), the PXRD pattern of YSbO3 was computed for Cu Kα (weighted mean of Kα1 and Kα2).

Structure:
```
data_YSbO3
_symmetry_space_group_name_H-M 'P n m a'
_symmetry_Int_Tables_number 62
_cell_length_a 6.0446
_cell_length_b 8.5593
_cell_length_c 5.7371
_cell_angle_alpha 90.00
_cell_angle_beta 90.00
_cell_angle_gamma 90.00
loop_
_symmetry_equiv_pos_as_xyz
'x,y,z'
'-x,-y,-z'
'-x+1/2,-y,z+1/2'
'x+1/2,y,-z+1/2'
'x+1/2,-y+1/2,-z+1/2'
'-x+1/2,y+1/2,z+1/2'
'-x,y+1/2,-z'
'x,-y+1/2,z'
loop_
_atom_site_label
_atom_site_fract_x
_atom_site_fract_y
_atom_site_fract_z
Y1 0.0580 0.2500 0.0189
Sb1 0.0000 0.0000 0.5000
O1 0.0942 0.7500 0.3367
O2 0.1839 0.5810 0.8210
```

Top 10 peaks for 2θ = 10–90°, low angle first:
2theta, I (rel.), hkl
29.6, 20, 2 0 0
30.0, 100, 1 2 1
31.2, 19, 0 0 2
42.2, 12, 0 4 0
43.5, 18, 2 0 2
52.4, 11, 2 4 0
52.7, 15, 3 2 1
53.4, 11, 0 4 2
54.7, 22, 1 2 3
62.2, 10, 2 4 2

---

[5]
Starting from DFT lattice parameters and positions (GGA-PBE), the PXRD pattern of Y2Sb2O7 was computed for Cu Kα (weighted mean of Kα1 and Kα2).

Structure:
Cell lengths 10.6741, 10.6741, 10.6741 Å; angles 90.00, 90.00, 90.00 degrees
Space group Fd-3m (No. 227, origin choice 2)
One atom of each set of equivalent atoms:
Y 0.0000 0.0000 0.0000
Sb 0.0000 0.0000 0.5000
O 0.0930 0.3750 0.8750
O 0.1250 0.1250 0.1250

Top 10 peaks for 2θ = 10–90°, low angle first:
2theta, I (rel.), hkl
14.4, 3, 1 1 1
27.7, 4, 3 1 1
29.0, 100, 2 2 2
33.6, 28, 4 0 0
48.2, 52, 4 4 0
57.3, 42, 6 2 2
60.0, 9, 4 4 4
70.6, 7, 8 0 0
78.0, 17, 6 6 2
80.5, 12, 8 4 0